Diffraction record for Tl2PbS2. The X-ray powder pattern is calculated, not measured: it uses the GGA-PBE geometry in Alexandria and Cu Kα (weighted mean of Kα1 and Kα2).
Peak positions follow from Bragg's law for the DFT cell and can differ from measured ones.

Structure:
```
Tl2PbS2
1.0
7.322 0.000 0.000
0.000 4.229 0.000
-0.010 0.000 9.841
Tl Pb S
4 2 4
Cartesian
1.215 0.000 1.522 Tl
2.437 2.114 8.319 Tl
4.876 2.114 1.522 Tl
6.098 0.000 8.319 Tl
-0.005 2.114 4.921 Pb
3.656 0.000 4.921 Pb
1.216 0.000 6.649 S
2.435 2.114 3.192 S
4.878 2.114 6.649 S
6.096 0.000 3.192 S
```

Peak list (10 most intense, 10 to 80 degrees two-theta, sorted by position)
d_spacing, Position (°2θ), intensity, (hkl)
3.432, 26.0, 95, 2 0 1
3.280, 27.2, 27, 0 0 3
2.938, 30.4, 100, 1 1 2
2.114, 42.8, 40, 3 1 0
2.042, 44.4, 34, 1 1 -4
1.800, 50.7, 16, 2 2 1
1.777, 51.4, 30, 3 1 -3
1.716, 53.4, 21, 2 2 -2
1.332, 70.7, 18, 5 1 -2
1.296, 73.0, 15, 3 1 -6